(1)
Starting from DFT lattice parameters and positions (PBE), the powder diffractogram of Li2Zn3GaPd2 was calculated for copper Kα.
Peak positions follow from Bragg's law for the DFT cell and can differ from measured ones.

Cell and atoms:
Unit cell a=4.321 b=4.321 c=6.086 alpha=90.00 beta=90.00 gamma=90.00
Fractional coordinates of all 8 atoms:
1 Li 0.000 0.500 0.248
2 Li 0.500 0.000 0.752
3 Zn 0.000 0.000 0.000
4 Zn 0.500 0.500 0.000
5 Zn 0.500 0.500 0.500
6 Ga 0.000 0.000 0.500
7 Pd 0.000 0.500 0.744
8 Pd 0.500 0.000 0.256

Top 8 peaks for 10 to 90 degrees two-theta, by angle:
two_theta, d (Å), I/Imax
25.3, 3.524, 42
41.9, 2.158, 100
49.5, 1.842, 13
49.6, 1.836, 6
60.6, 1.528, 11
60.9, 1.522, 5
76.4, 1.247, 21
76.6, 1.244, 10

---

(2)
Starting from DFT lattice parameters and positions (PBE), the powder diffractogram of Lu3Ga5 was calculated for copper Kα.
Peak positions follow from Bragg's law for the DFT cell and can differ from measured ones.

Cell and atoms:
Unit cell a=11.251 b=9.532 c=5.989 alpha=90.00 beta=90.00 gamma=90.00
Fractional coordinates of all 32 atoms:
1 Lu 0.074 0.250 0.153
2 Lu 0.148 0.509 0.609
3 Lu 0.148 0.991 0.609
4 Lu 0.352 0.009 0.109
5 Lu 0.352 0.491 0.109
6 Lu 0.426 0.750 0.653
7 Lu 0.574 0.250 0.347
8 Lu 0.648 0.509 0.891
9 Lu 0.648 0.991 0.891
10 Lu 0.852 0.009 0.391
11 Lu 0.852 0.491 0.391
12 Lu 0.926 0.750 0.847
13 Ga 0.006 0.250 0.626
14 Ga 0.091 0.551 0.125
15 Ga 0.091 0.949 0.125
16 Ga 0.202 0.750 0.893
17 Ga 0.249 0.750 0.328
18 Ga 0.251 0.250 0.828
19 Ga 0.298 0.250 0.393
20 Ga 0.409 0.051 0.625
21 Ga 0.409 0.449 0.625
22 Ga 0.494 0.750 0.126
23 Ga 0.506 0.250 0.874
24 Ga 0.591 0.551 0.375
25 Ga 0.591 0.949 0.375
26 Ga 0.702 0.750 0.607
27 Ga 0.749 0.750 0.172
28 Ga 0.751 0.250 0.672
29 Ga 0.798 0.250 0.107
30 Ga 0.909 0.051 0.875
31 Ga 0.909 0.449 0.875
32 Ga 0.994 0.750 0.374

Top 8 peaks for 10 to 90 degrees two-theta, by angle:
two_theta, d (Å), I/Imax
28.7, 3.108, 58
32.3, 2.768, 66
33.9, 2.644, 79
36.3, 2.474, 100
37.1, 2.422, 75
37.8, 2.383, 89
38.5, 2.340, 82
42.2, 2.139, 63

---

(3)
Starting from DFT lattice parameters and positions (PBE), the powder diffractogram of LuGa4Ni was calculated for copper Kα.
Peak positions follow from Bragg's law for the DFT cell and can differ from measured ones.

Cell and atoms:
Unit cell a=7.802 b=7.802 c=6.609 alpha=90.00 beta=90.00 gamma=149.95
Fractional coordinates of all 12 atoms:
1 Lu 0.121 0.879 0.750
2 Lu 0.879 0.121 0.250
3 Ga 0.069 0.931 0.250
4 Ga 0.316 0.684 0.551
5 Ga 0.316 0.684 0.949
6 Ga 0.500 0.500 0.000
7 Ga 0.500 0.500 0.500
8 Ga 0.684 0.316 0.051
9 Ga 0.684 0.316 0.449
10 Ga 0.931 0.069 0.750
11 Ni 0.226 0.774 0.250
12 Ni 0.774 0.226 0.750

Top 8 peaks for 10 to 90 degrees two-theta, by angle:
two_theta, d (Å), I/Imax
35.6, 2.523, 100
36.2, 2.484, 17
37.2, 2.417, 48
38.3, 2.348, 32
39.5, 2.280, 19
39.7, 2.270, 40
44.8, 2.023, 35
45.4, 2.000, 21

---

(4)
Starting from DFT lattice parameters and positions (PBE), the powder diffractogram of Lu4Ga21Ni10 was calculated for copper Kα.
Peak positions follow from Bragg's law for the DFT cell and can differ from measured ones.

Cell and atoms:
Unit cell a=10.575 b=10.575 c=15.493 alpha=124.48 beta=124.48 gamma=22.05
Fractional coordinates of all 35 atoms:
1 Lu 0.120 0.120 0.332
2 Lu 0.230 0.230 0.825
3 Lu 0.770 0.770 0.175
4 Lu 0.880 0.880 0.668
5 Ga 0.007 0.007 0.091
6 Ga 0.065 0.065 0.794
7 Ga 0.118 0.118 0.554
8 Ga 0.201 0.201 0.003
9 Ga 0.248 0.248 0.293
10 Ga 0.298 0.298 0.498
11 Ga 0.373 0.373 0.805
12 Ga 0.384 0.384 0.296
13 Ga 0.399 0.399 0.004
14 Ga 0.460 0.460 0.631
15 Ga 0.500 0.500 0.500
16 Ga 0.540 0.540 0.369
17 Ga 0.601 0.601 0.996
18 Ga 0.616 0.616 0.704
19 Ga 0.627 0.627 0.195
20 Ga 0.702 0.702 0.502
21 Ga 0.752 0.752 0.707
22 Ga 0.799 0.799 0.997
23 Ga 0.882 0.882 0.446
24 Ga 0.935 0.935 0.206
25 Ga 0.993 0.993 0.909
26 Ni 0.025 0.025 0.607
27 Ni 0.134 0.134 0.103
28 Ni 0.251 0.251 0.615
29 Ni 0.347 0.347 0.114
30 Ni 0.496 0.496 0.813
31 Ni 0.504 0.504 0.187
32 Ni 0.653 0.653 0.886
33 Ni 0.749 0.749 0.385
34 Ni 0.866 0.866 0.897
35 Ni 0.975 0.975 0.393

Top 8 peaks for 10 to 90 degrees two-theta, by angle:
two_theta, d (Å), I/Imax
33.9, 2.645, 15
37.0, 2.427, 33
38.3, 2.350, 100
38.8, 2.319, 42
40.3, 2.237, 15
44.8, 2.022, 51
46.0, 1.972, 15
78.3, 1.222, 15

---

(5)
Starting from DFT lattice parameters and positions (PBE), the powder diffractogram of Lu2Sc2Ga5Ni2 was calculated for copper Kα.
Peak positions follow from Bragg's law for the DFT cell and can differ from measured ones.

Cell and atoms:
Unit cell a=6.960 b=3.370 c=8.695 alpha=90.00 beta=94.23 gamma=90.00
Fractional coordinates of all 11 atoms:
1 Lu 0.237 0.000 0.431
2 Lu 0.763 0.000 0.569
3 Sc 0.185 0.000 0.860
4 Sc 0.815 0.000 0.140
5 Ga 0.155 0.500 0.139
6 Ga 0.439 0.500 0.689
7 Ga 0.500 0.500 0.000
8 Ga 0.561 0.500 0.311
9 Ga 0.845 0.500 0.861
10 Ni 0.070 0.500 0.639
11 Ni 0.930 0.500 0.361

Top 8 peaks for 10 to 90 degrees two-theta, by angle:
two_theta, d (Å), I/Imax
10.2, 8.671, 100
28.4, 3.141, 34
34.5, 2.601, 36
35.6, 2.523, 62
36.7, 2.448, 67
37.2, 2.418, 71
39.2, 2.298, 37
42.8, 2.114, 35

---

(6)
Starting from DFT lattice parameters and positions (PBE), the powder diffractogram of Tm2Lu2Ga5Ni2 was calculated for copper Kα.
Peak positions follow from Bragg's law for the DFT cell and can differ from measured ones.

Cell and atoms:
Unit cell a=6.957 b=3.535 c=8.759 alpha=90.00 beta=93.16 gamma=90.00
Fractional coordinates of all 11 atoms:
1 Tm 0.184 0.000 0.361
2 Tm 0.816 0.000 0.639
3 Lu 0.236 0.000 0.933
4 Lu 0.764 0.000 0.067
5 Ga 0.170 0.500 0.652
6 Ga 0.442 0.500 0.177
7 Ga 0.500 0.500 0.500
8 Ga 0.558 0.500 0.823
9 Ga 0.830 0.500 0.348
10 Ni 0.069 0.500 0.134
11 Ni 0.931 0.500 0.866

Top 8 peaks for 10 to 90 degrees two-theta, by angle:
two_theta, d (Å), I/Imax
23.4, 3.796, 31
34.7, 2.587, 95
35.5, 2.527, 100
36.3, 2.478, 84
38.1, 2.360, 35
40.1, 2.249, 38
41.2, 2.193, 42
51.7, 1.767, 48

---

(7)
Starting from DFT lattice parameters and positions (PBE), the powder diffractogram of LuGaPbSe3 was calculated for copper Kα.
Peak positions follow from Bragg's law for the DFT cell and can differ from measured ones.

Cell and atoms:
Unit cell a=7.817 b=7.817 c=11.066 alpha=90.00 beta=90.00 gamma=150.10
Fractional coordinates of all 12 atoms:
1 Lu 0.000 0.000 0.000
2 Lu 0.000 0.000 0.500
3 Ga 0.364 0.636 0.750
4 Ga 0.636 0.364 0.250
5 Pb 0.290 0.710 0.250
6 Pb 0.710 0.290 0.750
7 Se 0.025 0.975 0.250
8 Se 0.371 0.629 0.011
9 Se 0.371 0.629 0.489
10 Se 0.629 0.371 0.511
11 Se 0.629 0.371 0.989
12 Se 0.975 0.025 0.750

Top 8 peaks for 10 to 90 degrees two-theta, by angle:
two_theta, d (Å), I/Imax
19.9, 4.464, 56
24.2, 3.675, 24
28.4, 3.148, 100
32.4, 2.767, 52
40.7, 2.216, 34
43.5, 2.078, 67
45.0, 2.017, 21
56.5, 1.630, 21

---

(8)
Starting from DFT lattice parameters and positions (PBE), the powder diffractogram of LuGaPd was calculated for copper Kα.
Peak positions follow from Bragg's law for the DFT cell and can differ from measured ones.

Cell and atoms:
Unit cell a=6.786 b=4.324 c=7.782 alpha=90.00 beta=90.00 gamma=90.00
Fractional coordinates of all 12 atoms:
1 Lu 0.032 0.250 0.182
2 Lu 0.468 0.750 0.682
3 Lu 0.532 0.250 0.318
4 Lu 0.968 0.750 0.818
5 Ga 0.142 0.250 0.554
6 Ga 0.358 0.750 0.054
7 Ga 0.642 0.250 0.946
8 Ga 0.858 0.750 0.446
9 Pd 0.246 0.750 0.371
10 Pd 0.254 0.250 0.871
11 Pd 0.746 0.750 0.129
12 Pd 0.754 0.250 0.629

Top 8 peaks for 10 to 90 degrees two-theta, by angle:
two_theta, d (Å), I/Imax
33.6, 2.669, 20
33.7, 2.661, 56
35.6, 2.525, 100
37.1, 2.423, 29
40.6, 2.224, 22
41.8, 2.162, 38
42.8, 2.114, 24
46.4, 1.956, 18

---

(9)
Starting from DFT lattice parameters and positions (PBE), the powder diffractogram of LuGaPdPt was calculated for copper Kα.
Peak positions follow from Bragg's law for the DFT cell and can differ from measured ones.

Cell and atoms:
Unit cell a=4.368 b=4.368 c=8.909 alpha=90.00 beta=90.00 gamma=120.00
Fractional coordinates of all 8 atoms:
1 Lu 0.333 0.667 0.000
2 Lu 0.667 0.333 0.500
3 Ga 0.000 0.000 0.257
4 Ga 0.000 0.000 0.757
5 Pd 0.333 0.667 0.665
6 Pd 0.667 0.333 0.165
7 Pt 0.333 0.667 0.337
8 Pt 0.667 0.333 0.837

Top 8 peaks for 10 to 90 degrees two-theta, by angle:
two_theta, d (Å), I/Imax
23.5, 3.783, 28
38.5, 2.336, 100
41.3, 2.184, 73
57.8, 1.595, 31
67.8, 1.382, 11
73.5, 1.288, 30
75.4, 1.261, 12
77.8, 1.228, 13

---

(10)
Starting from DFT lattice parameters and positions (PBE), the powder diffractogram of TbLuGa2Pt4 was calculated for copper Kα.
Peak positions follow from Bragg's law for the DFT cell and can differ from measured ones.

Cell and atoms:
Unit cell a=4.375 b=4.375 c=9.054 alpha=90.00 beta=90.00 gamma=120.00
Fractional coordinates of all 8 atoms:
1 Tb 0.000 0.000 0.000
2 Lu 0.667 0.333 0.500
3 Ga 0.333 0.667 0.251
4 Ga 0.333 0.667 0.749
5 Pt 0.000 0.000 0.340
6 Pt 0.000 0.000 0.660
7 Pt 0.667 0.333 0.168
8 Pt 0.667 0.333 0.832

Top 8 peaks for 10 to 90 degrees two-theta, by angle:
two_theta, d (Å), I/Imax
23.5, 3.789, 31
38.1, 2.361, 100
41.3, 2.187, 69
57.4, 1.604, 31
66.7, 1.402, 10
73.2, 1.294, 30
75.2, 1.263, 12
76.7, 1.242, 13

---

(11)
Starting from DFT lattice parameters and positions (PBE), the powder diffractogram of Na2Mg2Ga2NiPd was calculated for copper Kα.
Peak positions follow from Bragg's law for the DFT cell and can differ from measured ones.

Cell and atoms:
Unit cell a=4.568 b=4.568 c=6.494 alpha=90.00 beta=90.00 gamma=90.00
Fractional coordinates of all 8 atoms:
1 Na 0.000 0.000 0.000
2 Na 0.500 0.500 0.500
3 Mg 0.000 0.500 0.243
4 Mg 0.500 0.000 0.757
5 Ga 0.000 0.500 0.764
6 Ga 0.500 0.000 0.236
7 Ni 0.500 0.500 0.000
8 Pd 0.000 0.000 0.500

Top 8 peaks for 10 to 90 degrees two-theta, by angle:
two_theta, d (Å), I/Imax
23.8, 3.736, 53
39.3, 2.290, 100
39.5, 2.284, 50
46.6, 1.949, 17
57.0, 1.615, 16
71.3, 1.323, 15
71.5, 1.320, 32
84.7, 1.145, 9

---

(12)
Starting from DFT lattice parameters and positions (PBE), the powder diffractogram of Na2MgZnGa2Ni2 was calculated for copper Kα.
Peak positions follow from Bragg's law for the DFT cell and can differ from measured ones.

Cell and atoms:
Unit cell a=4.448 b=4.448 c=6.315 alpha=90.00 beta=90.00 gamma=90.00
Fractional coordinates of all 8 atoms:
1 Na 0.000 0.500 0.241
2 Na 0.500 0.000 0.759
3 Mg 0.500 0.500 0.500
4 Zn 0.000 0.000 0.000
5 Ga 0.000 0.000 0.500
6 Ga 0.500 0.500 0.000
7 Ni 0.000 0.500 0.759
8 Ni 0.500 0.000 0.241

Top 8 peaks for 10 to 90 degrees two-theta, by angle:
two_theta, d (Å), I/Imax
24.5, 3.637, 13
40.5, 2.227, 100
47.9, 1.897, 4
58.5, 1.579, 5
58.7, 1.573, 11
73.6, 1.287, 10
73.7, 1.285, 20
87.6, 1.114, 6

---

(13)
Starting from DFT lattice parameters and positions (PBE), the powder diffractogram of Na2Mg2GaSnPd2 was calculated for copper Kα.
Peak positions follow from Bragg's law for the DFT cell and can differ from measured ones.

Cell and atoms:
Unit cell a=4.696 b=4.696 c=6.705 alpha=90.00 beta=90.00 gamma=90.00
Fractional coordinates of all 8 atoms:
1 Na 0.000 0.500 0.236
2 Na 0.500 0.000 0.764
3 Mg 0.000 0.000 0.000
4 Mg 0.500 0.500 0.500
5 Ga 0.500 0.500 0.000
6 Sn 0.000 0.000 0.500
7 Pd 0.000 0.500 0.758
8 Pd 0.500 0.000 0.242

Top 8 peaks for 10 to 90 degrees two-theta, by angle:
two_theta, d (Å), I/Imax
23.1, 3.846, 68
38.1, 2.359, 100
38.3, 2.348, 50
44.9, 2.018, 12
45.2, 2.004, 23
55.3, 1.660, 17
68.8, 1.364, 17
69.2, 1.358, 33